Starting from a GGA+U-relaxed structure, the X-ray diffraction stick pattern of Cs2WI2F4 was calculated for λ = 1.5418 Å (Cu Kα).
Peak positions follow from Bragg's law for the DFT cell and can differ from measured ones.

abc: 7.698 7.698 9.727
angles: 90.00 90.00 90.00
Space group I4/mmm (No. 139)
One atom of each set of equivalent atoms:
Cs 0.000 0.500 0.250
W 0.000 0.000 0.000
I 0.000 0.000 0.293
F 0.183 0.183 0.000

Top 6 peaks for 15 to 90 degrees two-theta, low angle first:
| 2θ/deg | d [Å] | I/Imax | hkl |
| --- | --- | --- | --- |
| 23.11 | 3.849 | 100 | 2 0 0 |
| 29.60 | 3.018 | 32 | 2 0 2 |
| 29.90 | 2.988 | 41 | 1 0 3 |
| 32.91 | 2.722 | 53 | 2 2 0 |
| 38.13 | 2.360 | 31 | 2 1 3 |
| 53.21 | 1.721 | 25 | 4 2 0 |